1.
Cs4TbTh3Se8: simulated powder X-ray diffraction pattern (Cu Kα), based on a structure optimized by DFT (PBE).

Structural model:
abc: 8.5854 8.5854 25.5061
angles: 90.00 90.00 120.00
Space group R-3m (No. 166, hexagonal axes)
Asymmetric unit:
Cs: 0.0000 0.0000 0.0000 (multiplicity 3)
Cs: 0.0000 0.5000 0.0000 (multiplicity 9)
Tb: 0.0000 0.0000 0.5000 (multiplicity 3)
Th: 0.0000 0.5000 0.5000 (multiplicity 9)
Se: 0.0000 0.0000 0.2323 (multiplicity 6)
Se: 0.0036 0.5018 0.2307 (multiplicity 18)

Main lines, in order of rising 2θ (15 to 90 degrees two-theta):
2θ/deg  intensity  (hkl)
24.95  18  2 0 2
27.78  100  0 2 4
37.15  37  2 0 8
42.10  35  2 2 0
51.19  18  4 0 4
68.36  16  2 4 4



2.
Cs2TcSe: simulated powder X-ray diffraction pattern (Cu Kα), based on a structure optimized by DFT (PBE).

Structural model:
abc: 13.2459 13.2459 4.7263
angles: 90.00 90.00 90.00
Space group I-42d (No. 122)
Asymmetric unit:
Cs: 0.0635 0.7500 0.1250 (multiplicity 8)
Tc: 0.0000 0.0000 0.0000 (multiplicity 4)
Se: 0.0000 0.0000 0.5000 (multiplicity 4)

Main lines, in order of rising 2θ (15 to 90 degrees two-theta):
2θ/deg  intensity  (hkl)
19.95  67  1 0 1
21.21  94  3 1 0
24.09  92  2 1 1
26.92  84  4 0 0
30.17  100  4 2 0
33.73  68  4 1 1



3.
Cs2Te5Se4: simulated powder X-ray diffraction pattern (Cu Kα), based on a structure optimized by DFT (PBE).

Structural model:
abc: 6.4653 7.8058 9.9552
angles: 99.54 98.22 93.61
Space group P-1 (No. 2)
Asymmetric unit:
Cs: 0.2050 0.4580 0.2482 (multiplicity 2)
Te: 0.0000 0.0000 0.0000 (multiplicity 1)
Te: 0.1557 0.9718 0.3230 (multiplicity 2)
Te: 0.2796 0.9610 0.6251 (multiplicity 2)
Se: 0.2785 0.6455 0.6270 (multiplicity 2)
Se: 0.4020 0.1053 0.9563 (multiplicity 2)

Main lines, in order of rising 2θ (15 to 90 degrees two-theta):
2θ/deg  intensity  (hkl)
19.05  27  1 1 -1
23.20  68  0 2 0
23.38  43  0 1 2
27.60  42  0 0 3
28.05  100  2 0 -1
37.29  30  2 2 -1



4.
Cs3Te4Se4: simulated powder X-ray diffraction pattern (Cu Kα), based on a structure optimized by DFT (PBE).

Structural model:
abc: 5.1630 5.7209 15.8342
angles: 89.50 80.69 89.78
Space group P-1 (No. 2)
Asymmetric unit:
Cs: 0.0000 0.0000 0.0000 (multiplicity 1)
Cs: 0.1379 0.3098 0.7229 (multiplicity 2)
Te: 0.2936 0.1783 0.4082 (multiplicity 2)
Te: 0.4561 0.5053 0.0908 (multiplicity 2)
Se: 0.2743 0.7624 0.4545 (multiplicity 2)
Se: 0.3838 0.2039 0.2363 (multiplicity 2)

Main lines, in order of rising 2θ (15 to 90 degrees two-theta):
2θ/deg  intensity  (hkl)
23.37  70  1 -1 0
24.71  100  1 1 2
26.39  90  1 0 -3
31.85  50  0 2 -1
34.75  54  2 0 1
48.32  26  2 1 6



- Number 4 is which compound?
  Cs3Te4Se4